No. 1
The following is a computed powder diffraction line list of Ba8Tl2Au. It was derived from a cell relaxed with GGA-PBE, using Cu Kα (weighted mean of Kα1 and Kα2).

Atomic structure:
a = 11.097 Å, b = 11.097 Å, c = 8.225 Å
α = 106.11°, β = 106.11°, γ = 31.46°
Fractional positions:
Ba: 0.030 0.030 0.298
Ba: 0.209 0.209 0.803
Ba: 0.342 0.342 0.539
Ba: 0.405 0.405 0.075
Ba: 0.595 0.595 0.925
Ba: 0.658 0.658 0.461
Ba: 0.791 0.791 0.197
Ba: 0.970 0.970 0.702
Tl: 0.185 0.185 0.211
Tl: 0.815 0.815 0.789
Au: 0.500 0.500 0.500

Top 12 peaks for 10° ≤ 2θ ≤ 90°, in order of falling intensity:
| 2theta | I/Imax |
| --- | --- |
| 29.70 | 100 |
| 26.34 | 99 |
| 28.46 | 94 |
| 30.45 | 80 |
| 26.09 | 64 |
| 33.01 | 37 |
| 50.69 | 33 |
| 24.54 | 32 |
| 55.53 | 31 |
| 27.07 | 29 |
| 16.06 | 27 |
| 34.13 | 27 |

No. 2
The following is a computed powder diffraction line list of NbGeTePO. It was derived from a cell relaxed with GGA-PBE, using Cu Kα (weighted mean of Kα1 and Kα2).

Atomic structure:
a = 7.533 Å, b = 7.533 Å, c = 4.289 Å
α = 91.05°, β = 91.05°, γ = 26.63°
Fractional positions:
Nb: 0.000 0.000 0.000
Ge: 0.667 0.667 0.228
Te: 0.810 0.810 0.677
P: 0.087 0.087 0.517
O: 0.451 0.451 0.100

Top 12 peaks for 10° ≤ 2θ ≤ 90°, in order of falling intensity:
| 2theta | I/Imax |
| --- | --- |
| 23.84 | 100 |
| 26.40 | 86 |
| 32.44 | 71 |
| 37.91 | 48 |
| 38.31 | 44 |
| 50.52 | 29 |
| 40.27 | 28 |
| 36.79 | 28 |
| 33.72 | 23 |
| 63.32 | 19 |
| 44.24 | 19 |
| 52.77 | 19 |

No. 3
The following is a computed powder diffraction line list of Li12Zn6Hg. It was derived from a cell relaxed with GGA-PBE, using Cu Kα (weighted mean of Kα1 and Kα2).

Atomic structure:
a = 7.491 Å, b = 7.491 Å, c = 7.491 Å
α = 111.20°, β = 111.20°, γ = 111.20°
Fractional positions:
Li: 0.020 0.290 0.180
Li: 0.180 0.020 0.290
Li: 0.241 0.615 0.667
Li: 0.290 0.180 0.020
Li: 0.333 0.759 0.385
Li: 0.385 0.333 0.759
Li: 0.615 0.667 0.241
Li: 0.667 0.241 0.615
Li: 0.710 0.820 0.980
Li: 0.759 0.385 0.333
Li: 0.820 0.980 0.710
Li: 0.980 0.710 0.820
Zn: 0.073 0.860 0.534
Zn: 0.140 0.466 0.927
Zn: 0.466 0.927 0.140
Zn: 0.534 0.073 0.860
Zn: 0.860 0.534 0.073
Zn: 0.927 0.140 0.466
Hg: 0.500 0.500 0.500

Top 12 peaks for 10° ≤ 2θ ≤ 90°, in order of falling intensity:
| 2theta | I/Imax |
| --- | --- |
| 21.09 | 100 |
| 38.98 | 79 |
| 24.95 | 77 |
| 25.59 | 56 |
| 45.50 | 50 |
| 31.08 | 41 |
| 47.39 | 27 |
| 34.38 | 26 |
| 39.61 | 24 |
| 15.40 | 21 |
| 44.34 | 19 |
| 38.54 | 18 |

No. 4
The following is a computed powder diffraction line list of PmPr5Ho5. It was derived from a cell relaxed with GGA-PBE, using Cu Kα (weighted mean of Kα1 and Kα2).

Atomic structure:
a = 10.002 Å, b = 10.002 Å, c = 7.083 Å
α = 110.52°, β = 110.52°, γ = 35.14°
Fractional positions:
Pm: 0.000 0.000 0.000
Pr: 0.176 0.176 0.420
Pr: 0.176 0.176 0.933
Pr: 0.500 0.500 0.000
Pr: 0.824 0.824 0.067
Pr: 0.824 0.824 0.580
Ho: 0.000 0.000 0.500
Ho: 0.330 0.330 0.829
Ho: 0.378 0.378 0.376
Ho: 0.622 0.622 0.624
Ho: 0.670 0.670 0.171

Top 12 peaks for 10° ≤ 2θ ≤ 90°, in order of falling intensity:
| 2theta | I/Imax |
| --- | --- |
| 33.00 | 100 |
| 29.60 | 67 |
| 30.24 | 32 |
| 42.81 | 25 |
| 54.70 | 24 |
| 27.11 | 20 |
| 29.20 | 18 |
| 60.62 | 16 |
| 28.13 | 16 |
| 40.56 | 14 |
| 51.62 | 12 |
| 36.13 | 12 |

No. 5
The following is a computed powder diffraction line list of CrTcPt14. It was derived from a cell relaxed with GGA-PBE, using Cu Kα (weighted mean of Kα1 and Kα2).

Atomic structure:
a = 5.593 Å, b = 5.593 Å, c = 7.874 Å
α = 90.00°, β = 90.00°, γ = 90.00°
Fractional positions:
Cr: 0.000 0.000 0.000
Tc: 0.500 0.500 0.000
Pt: 0.000 0.000 0.500
Pt: 0.000 0.500 0.000
Pt: 0.000 0.500 0.500
Pt: 0.250 0.250 0.242
Pt: 0.250 0.250 0.758
Pt: 0.250 0.750 0.242
Pt: 0.250 0.750 0.758
Pt: 0.500 0.000 0.000
Pt: 0.500 0.000 0.500
Pt: 0.500 0.500 0.500
Pt: 0.750 0.250 0.242
Pt: 0.750 0.250 0.758
Pt: 0.750 0.750 0.242
Pt: 0.750 0.750 0.758

Top 12 peaks for 10° ≤ 2θ ≤ 90°, in order of falling intensity:
| 2theta | I/Imax |
| --- | --- |
| 39.53 | 100 |
| 45.89 | 33 |
| 80.59 | 26 |
| 67.09 | 21 |
| 46.11 | 16 |
| 80.92 | 12 |
| 85.10 | 11 |
| 66.91 | 11 |
| 25.20 | 2 |
| 34.02 | 2 |
| 32.05 | 2 |
| 22.48 | 1 |

No. 6
The following is a computed powder diffraction line list of HoTm4Ir2. It was derived from a cell relaxed with GGA-PBE, using Cu Kα (weighted mean of Kα1 and Kα2).

Atomic structure:
a = 7.765 Å, b = 6.220 Å, c = 7.840 Å
α = 90.00°, β = 112.63°, γ = 90.00°
Fractional positions:
Ho: 0.027 0.250 0.159
Ho: 0.973 0.750 0.841
Tm: 0.237 0.502 0.583
Tm: 0.237 0.998 0.583
Tm: 0.334 0.750 0.250
Tm: 0.381 0.250 0.015
Tm: 0.619 0.750 0.985
Tm: 0.666 0.250 0.750
Tm: 0.763 0.002 0.417
Tm: 0.763 0.498 0.417
Ir: 0.016 0.250 0.741
Ir: 0.412 0.250 0.374
Ir: 0.588 0.750 0.626
Ir: 0.984 0.750 0.259

Top 12 peaks for 10° ≤ 2θ ≤ 90°, in order of falling intensity:
| 2theta | I/Imax |
| --- | --- |
| 31.88 | 100 |
| 38.32 | 67 |
| 37.02 | 64 |
| 34.91 | 51 |
| 31.08 | 51 |
| 34.36 | 49 |
| 28.71 | 48 |
| 40.10 | 43 |
| 36.22 | 42 |
| 37.14 | 41 |
| 31.31 | 40 |
| 48.02 | 36 |

Q: Which formula does entry 2 have?
A: NbGeTePO

Q: Which formula does entry 5 have?
A: CrTcPt14